Record 1
# Tm5In3
Theoretical powder diffractogram, Cu Ka. Input: a GGA-PBE-relaxed structure.

Main lines, sorted by position (10 to 90 degrees two-theta):
2theta	intensity
30.04	14
31.57	100
34.08	21
35.61	48
38.57	12
51.13	12
53.50	12
55.50	9
65.41	13
66.25	19

Cell and atoms:
a b c (Å): 8.990 8.990 8.990
angles (deg): 127.36 127.36 77.67
Sites, in units of the cell vectors:
Tm 0.000 0.000 0.000
Tm 0.007 0.507 0.820
Tm 0.187 0.007 0.500
Tm 0.313 0.813 0.820
Tm 0.493 0.313 0.500
Tm 0.500 0.500 0.000
Tm 0.507 0.687 0.500
Tm 0.687 0.187 0.180
Tm 0.813 0.993 0.500
Tm 0.993 0.493 0.180
In 0.133 0.367 0.500
In 0.250 0.250 0.000
In 0.367 0.867 0.233
In 0.633 0.133 0.767
In 0.750 0.750 0.000
In 0.867 0.633 0.500

Record 2
# Tm3In5
Theoretical powder diffractogram, Cu Ka. Input: a GGA-PBE-relaxed structure.

Main lines, sorted by position (10 to 90 degrees two-theta):
2theta	intensity
33.75	100
34.40	19
34.80	55
36.73	23
39.13	15
39.71	15
51.47	13
58.49	12
61.67	16
67.70	17

Cell and atoms:
a b c (Å): 6.321 6.321 10.321
angles (deg): 90.00 90.00 78.54
Sites, in units of the cell vectors:
Tm 0.111 0.889 0.750
Tm 0.293 0.293 0.000
Tm 0.293 0.293 0.500
Tm 0.707 0.707 0.000
Tm 0.707 0.707 0.500
Tm 0.889 0.111 0.250
In 0.007 0.432 0.750
In 0.196 0.804 0.042
In 0.196 0.804 0.458
In 0.432 0.007 0.250
In 0.500 0.500 0.250
In 0.500 0.500 0.750
In 0.568 0.993 0.750
In 0.804 0.196 0.542
In 0.804 0.196 0.958
In 0.993 0.568 0.250

Record 3
# Tm3In
Theoretical powder diffractogram, Cu Ka. Input: a GGA-PBE-relaxed structure.

Main lines, sorted by position (10 to 90 degrees two-theta):
2theta	intensity
32.44	100
35.85	19
38.50	31
53.62	24
55.58	11
62.29	15
65.85	26
67.93	12
88.27	12
88.58	6

Cell and atoms:
a b c (Å): 4.677 4.677 10.020
angles (deg): 90.00 90.00 90.00
Sites, in units of the cell vectors:
Tm 0.000 0.000 0.000
Tm 0.000 0.500 0.250
Tm 0.000 0.500 0.750
Tm 0.500 0.000 0.250
Tm 0.500 0.000 0.750
Tm 0.500 0.500 0.500
In 0.000 0.000 0.500
In 0.500 0.500 0.000

Record 4
# Tm2In
Theoretical powder diffractogram, Cu Ka. Input: a GGA-PBE-relaxed structure.

Main lines, sorted by position (10 to 90 degrees two-theta):
2theta	intensity
33.25	97
33.71	100
48.08	35
55.31	8
60.00	36
60.29	19
66.36	28
70.89	12
80.58	15
86.29	14

Cell and atoms:
a b c (Å): 5.317 5.317 6.644
angles (deg): 90.00 90.00 120.00
Sites, in units of the cell vectors:
Tm 0.000 0.000 0.000
Tm 0.000 0.000 0.500
Tm 0.333 0.667 0.250
Tm 0.667 0.333 0.750
In 0.333 0.667 0.750
In 0.667 0.333 0.250

Record 5
# YTm2In3
Theoretical powder diffractogram, Cu Ka. Input: a GGA-PBE-relaxed structure.

Main lines, sorted by position (10 to 90 degrees two-theta):
2theta	intensity
33.29	100
35.96	41
43.57	12
51.76	14
57.72	20
62.95	31
69.91	11
73.44	10
85.77	7
87.29	6

Cell and atoms:
a b c (Å): 3.532 3.532 12.465
angles (deg): 90.00 90.00 90.00
Sites, in units of the cell vectors:
Y 0.000 0.000 0.000
Tm 0.000 0.000 0.335
Tm 0.000 0.000 0.665
In 0.500 0.500 0.170
In 0.500 0.500 0.500
In 0.500 0.500 0.830

Record 6
# Y8Tm2In
Theoretical powder diffractogram, Cu Ka. Input: a GGA-PBE-relaxed structure.

Main lines, sorted by position (10 to 90 degrees two-theta):
2theta	intensity
17.41	22
32.01	93
32.36	100
33.62	91
36.97	14
43.97	17
48.28	33
56.49	15
59.17	16
59.41	26

Cell and atoms:
a b c (Å): 8.240 8.240 5.324
angles (deg): 90.05 90.05 103.63
Sites, in units of the cell vectors:
Y 0.169 0.169 0.000
Y 0.199 0.472 0.500
Y 0.248 0.752 0.000
Y 0.472 0.199 0.500
Y 0.528 0.801 0.500
Y 0.752 0.248 0.000
Y 0.801 0.528 0.500
Y 0.831 0.831 0.000
Tm 0.120 0.880 0.500
Tm 0.880 0.120 0.500
In 0.500 0.500 0.000

Record 7
# Y4Tm3In
Theoretical powder diffractogram, Cu Ka. Input: a GGA-PBE-relaxed structure.

Main lines, sorted by position (10 to 90 degrees two-theta):
2theta	intensity
12.62	14
29.34	24
32.10	38
33.36	51
33.53	100
44.04	16
51.78	19
58.14	19
62.23	21
63.33	15

Cell and atoms:
a b c (Å): 11.154 7.016 6.130
angles (deg): 90.00 90.00 90.00
Sites, in units of the cell vectors:
Y 0.000 0.133 0.000
Y 0.000 0.867 0.469
Y 0.238 0.872 0.832
Y 0.262 0.128 0.332
Y 0.500 0.133 0.969
Y 0.500 0.867 0.500
Y 0.738 0.128 0.332
Y 0.762 0.872 0.832
Tm 0.000 0.371 0.478
Tm 0.245 0.386 0.805
Tm 0.255 0.614 0.305
Tm 0.500 0.629 0.978
Tm 0.745 0.614 0.305
Tm 0.755 0.386 0.805
In 0.000 0.619 0.985
In 0.500 0.381 0.485

Record 8
# Y12Tm5In2
Theoretical powder diffractogram, Cu Ka. Input: a GGA-PBE-relaxed structure.

Main lines, sorted by position (10 to 90 degrees two-theta):
2theta	intensity
28.75	36
29.66	42
30.21	30
30.90	53
31.17	53
32.26	94
32.44	100
34.19	68
35.55	34
56.59	44

Cell and atoms:
a b c (Å): 8.959 8.959 8.300
angles (deg): 91.11 91.11 63.01
Sites, in units of the cell vectors:
Y 0.053 0.053 0.321
Y 0.073 0.677 0.342
Y 0.165 0.535 0.767
Y 0.323 0.927 0.658
Y 0.415 0.415 0.117
Y 0.465 0.835 0.233
Y 0.535 0.165 0.767
Y 0.585 0.585 0.883
Y 0.677 0.073 0.342
Y 0.835 0.465 0.233
Y 0.927 0.323 0.658
Y 0.947 0.947 0.679
Tm 0.188 0.188 0.006
Tm 0.265 0.265 0.419
Tm 0.500 0.500 0.500
Tm 0.735 0.735 0.581
Tm 0.812 0.812 0.994
In 0.183 0.817 0.000
In 0.817 0.183 0.000

Record 9
# Y6Tm2In3
Theoretical powder diffractogram, Cu Ka. Input: a GGA-PBE-relaxed structure.

Main lines, sorted by position (10 to 90 degrees two-theta):
2theta	intensity
27.84	26
29.86	100
32.16	27
35.30	58
35.58	55
39.78	59
52.03	25
54.42	32
57.52	20
66.16	21

Cell and atoms:
a b c (Å): 17.011 17.011 17.011
angles (deg): 164.69 164.69 21.72
Sites, in units of the cell vectors:
Y 0.127 0.627 0.500
Y 0.213 0.213 0.000
Y 0.373 0.873 0.500
Y 0.627 0.127 0.500
Y 0.787 0.787 0.000
Y 0.873 0.373 0.500
Tm 0.045 0.045 0.000
Tm 0.955 0.955 0.000
In 0.307 0.307 0.000
In 0.500 0.500 0.000
In 0.693 0.693 0.000

Record 10
# Y4Tm5In2
Theoretical powder diffractogram, Cu Ka. Input: a GGA-PBE-relaxed structure.

Main lines, sorted by position (10 to 90 degrees two-theta):
2theta	intensity
11.39	12
19.89	15
31.95	100
33.51	24
34.64	96
47.84	32
60.40	32
62.09	17
64.90	16
81.99	13

Cell and atoms:
a b c (Å): 15.829 15.829 15.829
angles (deg): 18.83 18.83 18.83
Sites, in units of the cell vectors:
Y 0.072 0.072 0.072
Y 0.226 0.226 0.226
Y 0.774 0.774 0.774
Y 0.928 0.928 0.928
Tm 0.000 0.000 0.000
Tm 0.148 0.148 0.148
Tm 0.303 0.303 0.303
Tm 0.697 0.697 0.697
Tm 0.852 0.852 0.852
In 0.379 0.379 0.379
In 0.621 0.621 0.621

Record 11
# Y2Tm3In4
Theoretical powder diffractogram, Cu Ka. Input: a GGA-PBE-relaxed structure.

Main lines, sorted by position (10 to 90 degrees two-theta):
2theta	intensity
32.92	100
34.32	93
48.29	34
57.87	18
60.57	34
61.46	17
69.03	11
72.32	10
79.38	10
81.73	10

Cell and atoms:
a b c (Å): 5.225 5.225 10.215
angles (deg): 90.06 90.06 60.05
Sites, in units of the cell vectors:
Y 0.167 0.167 0.276
Y 0.833 0.833 0.724
Tm 0.167 0.167 0.927
Tm 0.500 0.500 0.500
Tm 0.833 0.833 0.073
In 0.167 0.167 0.601
In 0.500 0.500 0.155
In 0.500 0.500 0.845
In 0.833 0.833 0.399

Record 12
# Y2Tm2In
Theoretical powder diffractogram, Cu Ka. Input: a GGA-PBE-relaxed structure.

Main lines, sorted by position (10 to 90 degrees two-theta):
2theta	intensity
13.92	21
31.04	45
32.33	100
32.46	54
33.23	97
48.52	18
57.23	29
58.96	23
59.59	19
80.73	16

Cell and atoms:
a b c (Å): 12.513 3.753 8.621
angles (deg): 90.00 132.44 90.00
Sites, in units of the cell vectors:
Y 0.081 0.000 0.376
Y 0.419 0.500 0.624
Y 0.581 0.500 0.376
Y 0.919 0.000 0.624
Tm 0.236 0.500 0.827
Tm 0.264 0.000 0.173
Tm 0.736 0.000 0.827
Tm 0.764 0.500 0.173
In 0.000 0.500 0.000
In 0.500 0.000 0.000